Record 1
Diffraction record for Hg4SbO6. The XRD peak list is computed, not measured: it uses a DFT-relaxed cell (PBE, the Materials Project) and CuKα.
Peak positions follow from Bragg's law for the DFT cell and can differ from measured ones.

Most intense lines, 10 to 80 degrees two-theta, by intensity:
25.48 deg, rel. 100, hkl 0 0 1
26.25 deg, rel. 83, hkl 2 0 -1
33.65 deg, rel. 73, hkl 1 5 0
33.80 deg, rel. 66, hkl 1 5 -1
37.20 deg, rel. 31, hkl 2 0 -2
51.14 deg, rel. 31, hkl 3 5 -1

Structure:
a b c (Å): 6.790 15.856 4.837
angles (deg): 90.00 133.72 90.00
Space group C2/m (No. 12)
Inequivalent atoms, fractional coordinates:
Hg 0.000 0.106 0.000
Hg 0.000 0.279 0.000
Sb 0.000 0.500 0.000
O 0.217 0.396 0.054
O 0.243 0.500 0.556

Record 2
Diffraction record for Pr3Ge13Os4. The XRD peak list is computed, not measured: it uses a DFT-relaxed cell (PBE, the Materials Project) and CuKα.
Peak positions follow from Bragg's law for the DFT cell and can differ from measured ones.

Most intense lines, 10 to 80 degrees two-theta, by intensity:
35.23 deg, rel. 100, hkl 3 2 0
39.23 deg, rel. 62, hkl 4 0 0
48.56 deg, rel. 59, hkl 4 2 2
19.33 deg, rel. 57, hkl 2 0 0
33.80 deg, rel. 50, hkl 2 2 2
44.09 deg, rel. 40, hkl 4 2 0

Structure:
a b c (Å): 9.185 9.185 9.185
angles (deg): 90.00 90.00 90.00
Space group Pm-3n (No. 223)
Inequivalent atoms, fractional coordinates:
Pr 0.000 0.250 0.500
Ge 0.000 0.000 0.000
Ge 0.000 0.295 0.146
Os 0.250 0.250 0.250

Record 3
Diffraction record for Ni7Mo9P6. The XRD peak list is computed, not measured: it uses a DFT-relaxed cell (PBE, the Materials Project) and CuKα.
Peak positions follow from Bragg's law for the DFT cell and can differ from measured ones.

Most intense lines, 10 to 80 degrees two-theta, by intensity:
41.53 deg, rel. 100, hkl 0 0 3
41.47 deg, rel. 36, hkl 1 3 0
47.93 deg, rel. 31, hkl 2 -1 2
48.18 deg, rel. 30, hkl 1 3 3
39.21 deg, rel. 27, hkl 2 3 1
48.82 deg, rel. 26, hkl 3 2 -1

Structure:
a b c (Å): 7.018 7.050 7.069
angles (deg): 68.93 72.80 60.45
Space group P-1 (No. 2)
Inequivalent atoms, fractional coordinates:
Ni 0.000 0.000 0.000
Ni 0.134 0.285 0.999
Ni 0.144 0.620 0.669
Ni 0.283 0.581 0.003
Mo 0.063 0.285 0.641
Mo 0.200 0.947 0.339
Mo 0.425 0.469 0.348
Mo 0.441 0.866 0.943
Mo 0.500 0.000 0.500
P 0.200 0.333 0.268
P 0.202 0.874 0.722
P 0.401 0.265 0.734

Record 4
Diffraction record for F. The XRD peak list is computed, not measured: it uses a DFT-relaxed cell (PBE, the Materials Project) and CuKα.
Peak positions follow from Bragg's law for the DFT cell and can differ from measured ones.

Most intense lines, 10 to 80 degrees two-theta, by intensity:
34.54 deg, rel. 100, hkl 2 0 0
32.86 deg, rel. 86, hkl 0 0 2
43.93 deg, rel. 37, hkl 2 0 -2
44.59 deg, rel. 19, hkl 1 1 -2
49.03 deg, rel. 18, hkl 1 1 2
56.49 deg, rel. 16, hkl 0 2 0

Structure:
a b c (Å): 5.269 3.258 5.529
angles (deg): 90.00 99.67 90.00
Space group C2/c (No. 15)
Inequivalent atoms, fractional coordinates:
F 0.242 0.023 0.207